# NaAcIn2
Calculated PXRD pattern, λ = 1.5418 Å (Cu Kα). Input: a DFT-relaxed cell (PBE, the Materials Project).
Lines closer than 0.1° are merged.

Most intense lines, 2θ from 15° to 90°, in order of rising 2θ:
hkl 1 1 1, 19.36 deg, I = 36.8; hkl 2 2 0, 31.87 deg, I = 100.0; hkl 3 1 1, 37.56 deg, I = 21.6; hkl 4 0 0, 45.69 deg, I = 18.4; hkl 3 3 1, 50.06 deg, I = 9.8; hkl 4 2 2, 56.78 deg, I = 38.3; hkl 5 1 1, 60.57 deg, I = 7.5; hkl 4 4 0, 66.60 deg, I = 11.8; hkl 5 3 1, 70.09 deg, I = 7.5; hkl 6 2 0, 75.74 deg, I = 16.3

Structure:
Lattice parameters (Å, degrees): 7.943 7.943 7.943 90.00 90.00 90.00
Space group Fm-3m (No. 225)
One atom of each set of equivalent atoms:
1 Na 0.000 0.000 0.000 (multiplicity 4)
2 Ac 0.000 0.000 0.500 (multiplicity 4)
3 In 0.250 0.250 0.250 (multiplicity 8)